[1]
For ZnPS3, a PBE-relaxed structure gives the calculated X-ray diffraction stick pattern in this record (Cu Kα).

Top 10 peaks for 15° ≤ 2θ ≤ 90°, low angle first:
two_theta	Rel. int.
30.03	48
33.65	7
34.12	100
37.45	6
41.89	14
45.05	25
52.76	33
54.38	17
64.34	14
87.81	15

```
ZnPS3
1.0
3.0054 -5.2051 0.0000
3.0054 5.2051 0.0000
-1.9856 0.0000 7.2247
Zn P S
2 2 6
Direct
0.1670 0.8330 0.0000
0.8330 0.1670 0.0000
0.4493 0.4493 0.8470
0.5507 0.5507 0.1530
0.0971 0.4260 0.7762
0.2450 0.2450 0.2236
0.4260 0.0971 0.7762
0.5740 0.9029 0.2238
0.7550 0.7550 0.7764
0.9029 0.5740 0.2238
```

[2]
For CeOF, a PBE-relaxed structure gives the calculated X-ray diffraction stick pattern in this record (Cu Kα).

Top 10 peaks for 15° ≤ 2θ ≤ 90°, low angle first:
two_theta	Rel. int.
15.03	11
27.03	100
30.32	12
31.79	46
37.98	24
44.51	30
45.58	25
51.89	13
53.79	31
60.78	11

```
CeOF
1.0
3.9803 0.0000 0.0000
0.0000 3.9803 0.0000
0.0000 0.0000 5.8960
Ce O F
2 2 2
Direct
0.2500 0.2500 0.2054
0.7500 0.7500 0.7946
0.2500 0.7500 0.0000
0.7500 0.2500 0.0000
0.2500 0.2500 0.6089
0.7500 0.7500 0.3911
```

[3]
For SmFeCo, a PBE-relaxed structure gives the calculated X-ray diffraction stick pattern in this record (Cu Kα).

Top 10 peaks for 15° ≤ 2θ ≤ 90°, low angle first:
two_theta	Rel. int.
33.16	27
34.57	100
34.71	26
39.66	86
40.67	78
41.08	37
41.41	39
41.77	20
60.14	20
72.92	35

```
SmFeCo
1.0
-2.5842 2.7019 3.6072
2.5842 -2.7019 3.6072
2.5842 2.7019 -3.6072
Sm Fe Co
2 2 2
Direct
0.3757 0.1257 0.2500
0.6243 0.8743 0.7500
0.0000 0.0000 0.5000
0.0000 0.5000 0.0000
0.0000 0.5000 0.5000
0.5000 0.5000 0.0000
```

[4]
For ClF, a PBE-relaxed structure gives the calculated X-ray diffraction stick pattern in this record (Cu Kα).

Top 10 peaks for 15° ≤ 2θ ≤ 90°, low angle first:
two_theta	Rel. int.
25.28	100
27.74	13
28.83	17
32.20	33
34.99	17
36.75	31
42.14	14
49.70	13
51.32	10
55.64	12

```
ClF
1.0
6.5631 0.0000 0.0000
0.0000 3.7394 0.0000
-2.0452 0.0000 7.0479
Cl F
4 4
Direct
0.1529 0.0101 0.2902
0.1529 0.4899 0.7902
0.8471 0.5101 0.2098
0.8471 0.9899 0.7098
0.3676 0.2196 0.8468
0.3676 0.2804 0.3468
0.6324 0.7196 0.6532
0.6324 0.7804 0.1532
```

[5]
For NaCeHfNbO6, a PBE-relaxed structure gives the calculated X-ray diffraction stick pattern in this record (Cu Kα).

Top 10 peaks for 15° ≤ 2θ ≤ 90°, low angle first:
two_theta	Rel. int.
18.85	27
21.80	16
31.02	100
36.55	16
44.45	32
48.68	7
55.19	40
64.67	20
73.46	17
81.86	6

```
NaCeHfNbO6
1.0
0.0000 4.0765 4.0765
4.0765 0.0000 4.0765
4.0765 4.0765 0.0000
Na Ce Hf Nb O
1 1 1 1 6
Direct
0.0000 0.0000 0.0000
0.5000 0.5000 0.5000
0.2500 0.2500 0.2500
0.7500 0.7500 0.7500
0.5022 0.5022 0.9978
0.5022 0.9978 0.5022
0.5022 0.9978 0.9978
0.9978 0.5022 0.5022
0.9978 0.5022 0.9978
0.9978 0.9978 0.5022
```